[1]
For CaTb2Pr7, a DFT-relaxed cell (GGA-PBE, Alexandria) gives the simulated X-ray powder pattern in this record (λ = 1.5418 Å (Cu Kα)).

Structural model:
```
CaTb2Pr7
1.0
4.5733 -8.0844 0.0000
4.5733 8.0844 0.0000
0.0000 0.0000 5.8625
Ca Tb Pr
1 2 7
direct
0.0000 0.0000 0.0000
0.2960 0.7040 0.5000
0.7040 0.2960 0.5000
0.0637 0.3010 0.5000
0.2432 0.7568 0.0000
0.3010 0.0637 0.5000
0.5000 0.5000 0.5000
0.6990 0.9363 0.5000
0.7568 0.2432 0.0000
0.9363 0.6990 0.5000
```

Top 10 peaks for 2θ from 15° to 90°, sorted by position:
- d = 5.862 Å, intensity 100
- d = 3.981 Å, intensity 26
- d = 3.328 Å, intensity 41
- d = 3.029 Å, intensity 77
- d = 2.996 Å, intensity 27
- d = 2.931 Å, intensity 70
- d = 2.705 Å, intensity 70
- d = 2.668 Å, intensity 56
- d = 2.106 Å, intensity 56
- d = 1.646 Å, intensity 28

=====

[2]
For Ho3Sn2Au, a DFT-relaxed cell (GGA-PBE, Alexandria) gives the simulated X-ray powder pattern in this record (λ = 1.5418 Å (Cu Kα)).

Structural model:
```
Ho3Sn2Au
1.0
12.1508 0.0000 0.0000
0.0000 4.5304 0.0000
0.0000 0.0000 11.6201
Ho Sn Au
12 8 4
direct
0.0490 0.2500 0.1241
0.1286 0.7500 0.5618
0.2231 0.2500 0.8037
0.2769 0.7500 0.3037
0.3714 0.2500 0.0618
0.4510 0.7500 0.6241
0.5490 0.2500 0.3759
0.6286 0.7500 0.9382
0.7231 0.2500 0.6963
0.7769 0.7500 0.1963
0.8714 0.2500 0.4382
0.9510 0.7500 0.8759
0.0025 0.7500 0.3098
0.1852 0.7500 0.0136
0.3148 0.2500 0.5136
0.4975 0.2500 0.8098
0.5025 0.7500 0.1902
0.6852 0.7500 0.4864
0.8148 0.2500 0.9864
0.9975 0.2500 0.6902
0.1320 0.2500 0.3639
0.3680 0.7500 0.8639
0.6320 0.2500 0.1361
0.8680 0.7500 0.6361
```

Top 10 peaks for 2θ from 15° to 90°, sorted by position:
- d = 3.080 Å, intensity 43
- d = 2.943 Å, intensity 70
- d = 2.825 Å, intensity 30
- d = 2.679 Å, intensity 100
- d = 2.466 Å, intensity 53
- d = 2.380 Å, intensity 24
- d = 2.266 Å, intensity 89
- d = 2.016 Å, intensity 21
- d = 1.874 Å, intensity 22
- d = 1.506 Å, intensity 20

=====

[3]
For Sm3PdBr3, a DFT-relaxed cell (GGA-PBE, Alexandria) gives the simulated X-ray powder pattern in this record (λ = 1.5418 Å (Cu Kα)).

Structural model:
```
Sm3PdBr3
1.0
-5.9942 5.9942 5.9942
5.9942 -5.9942 5.9942
5.9942 5.9942 -5.9942
Sm Pd Br
12 4 12
direct
0.0139 0.0278 0.2639
0.0139 0.4861 0.7500
0.0278 0.2639 0.0139
0.2361 0.2639 0.7500
0.2361 0.4722 0.4861
0.2639 0.0139 0.0278
0.2639 0.7500 0.2361
0.4722 0.4861 0.2361
0.4861 0.2361 0.4722
0.4861 0.7500 0.0139
0.7500 0.0139 0.4861
0.7500 0.2361 0.2639
0.0000 0.2500 0.5000
0.2500 0.2500 0.2500
0.2500 0.5000 0.0000
0.5000 0.0000 0.2500
0.2500 0.7556 0.7444
0.2500 0.9944 0.5056
0.5056 0.2500 0.9944
0.5056 0.7556 0.5112
0.5112 0.5056 0.7556
0.7444 0.2500 0.7556
0.7444 0.9944 0.9888
0.7556 0.5112 0.5056
0.7556 0.7444 0.2500
0.9888 0.7444 0.9944
0.9944 0.5056 0.2500
0.9944 0.9888 0.7444
```

Top 10 peaks for 2θ from 15° to 90°, sorted by position:
- d = 3.204 Å, intensity 13
- d = 2.997 Å, intensity 100
- d = 2.556 Å, intensity 9
- d = 2.351 Å, intensity 9
- d = 2.119 Å, intensity 71
- d = 1.730 Å, intensity 24
- d = 1.631 Å, intensity 8
- d = 1.499 Å, intensity 11
- d = 1.340 Å, intensity 28
- d = 1.224 Å, intensity 20

=====

[4]
For Li3Zn3Ga8, a DFT-relaxed cell (GGA-PBE, Alexandria) gives the simulated X-ray powder pattern in this record (λ = 1.5418 Å (Cu Kα)).

Structural model:
```
Li3Zn3Ga8
1.0
-2.0516 4.9255 6.0327
2.0516 -4.9255 6.0327
2.0516 4.9255 -6.0327
Li Zn Ga
3 3 8
direct
0.0000 0.0000 0.0000
0.2891 0.2891 0.0000
0.7109 0.7109 0.0000
0.3331 0.5000 0.8331
0.5000 0.0000 0.5000
0.6669 0.5000 0.1669
0.0142 0.6413 0.3729
0.1429 0.8495 0.2934
0.2684 0.6413 0.6271
0.4439 0.1505 0.2934
0.5561 0.8495 0.7066
0.7316 0.3587 0.3729
0.8571 0.1505 0.7066
0.9858 0.3587 0.6271
```

Top 10 peaks for 2θ from 15° to 90°, sorted by position:
- d = 4.926 Å, intensity 53
- d = 3.788 Å, intensity 69
- d = 3.723 Å, intensity 52
- d = 2.481 Å, intensity 95
- d = 2.360 Å, intensity 96
- d = 2.080 Å, intensity 62
- d = 2.052 Å, intensity 59
- d = 2.011 Å, intensity 33
- d = 1.953 Å, intensity 100
- d = 1.944 Å, intensity 31

=====

[5]
For In3GaHg5, a DFT-relaxed cell (GGA-PBE, Alexandria) gives the simulated X-ray powder pattern in this record (λ = 1.5418 Å (Cu Kα)).

Structural model:
```
In3GaHg5
1.0
9.0393 0.0000 0.0000
0.0000 6.0379 0.0000
-4.1152 0.0000 8.5558
In Ga Hg
6 2 10
direct
0.0019 0.2500 0.3919
0.3788 0.2500 0.9984
0.3828 0.7500 0.3905
0.6172 0.2500 0.6095
0.6212 0.7500 0.0016
0.9981 0.7500 0.6081
0.0000 0.0000 0.0000
0.0000 0.5000 0.0000
0.0054 0.2500 0.7274
0.2748 0.2500 0.2759
0.2783 0.7500 0.9996
0.3364 0.0005 0.6711
0.3364 0.4995 0.6711
0.6636 0.9995 0.3289
0.6636 0.5005 0.3289
0.7217 0.2500 0.0004
0.7252 0.7500 0.7241
0.9946 0.7500 0.2726
```

Top 10 peaks for 2θ from 15° to 90°, sorted by position:
- d = 2.863 Å, intensity 29
- d = 2.852 Å, intensity 83
- d = 2.815 Å, intensity 32
- d = 2.714 Å, intensity 100
- d = 2.611 Å, intensity 67
- d = 2.574 Å, intensity 79
- d = 2.544 Å, intensity 79
- d = 2.510 Å, intensity 77
- d = 1.909 Å, intensity 26
- d = 1.510 Å, intensity 28

=====

[6]
For TbCdAu, a DFT-relaxed cell (GGA-PBE, Alexandria) gives the simulated X-ray powder pattern in this record (λ = 1.5418 Å (Cu Kα)).

Structural model:
```
TbCdAu
1.0
7.8554 0.0000 0.0000
-3.9277 6.8030 0.0000
0.0000 0.0000 3.8936
Tb Cd Au
3 3 3
direct
0.0000 0.4019 0.0000
0.4019 0.0000 0.0000
0.5981 0.5981 0.0000
0.0000 0.7368 0.5000
0.2632 0.2632 0.5000
0.7368 0.0000 0.5000
0.0000 0.0000 0.0000
0.3333 0.6667 0.5000
0.6667 0.3333 0.5000
```

Top 10 peaks for 2θ from 15° to 90°, sorted by position:
- d = 3.928 Å, intensity 18
- d = 2.765 Å, intensity 85
- d = 2.571 Å, intensity 32
- d = 2.562 Å, intensity 100
- d = 2.268 Å, intensity 61
- d = 2.146 Å, intensity 43
- d = 1.947 Å, intensity 25
- d = 1.477 Å, intensity 32
- d = 1.449 Å, intensity 38
- d = 1.285 Å, intensity 19

=====

[7]
For Ti2As2H, a DFT-relaxed cell (GGA-PBE, Alexandria) gives the simulated X-ray powder pattern in this record (λ = 1.5418 Å (Cu Kα)).

Structural model:
```
Ti2As2H
1.0
1.7234 -6.1789 0.0000
1.7234 6.1789 0.0000
0.0000 0.0000 6.7378
Ti As H
4 4 2
direct
0.0545 0.9455 0.5000
0.3613 0.6387 0.3468
0.6387 0.3613 0.8468
0.9455 0.0545 0.0000
0.2764 0.7236 0.0073
0.4307 0.5693 0.6981
0.5693 0.4307 0.1981
0.7236 0.2764 0.5073
0.0790 0.9210 0.8105
0.9210 0.0790 0.3105
```

Top 10 peaks for 2θ from 15° to 90°, sorted by position:
- d = 3.320 Å, intensity 21
- d = 2.958 Å, intensity 22
- d = 2.808 Å, intensity 23
- d = 2.461 Å, intensity 100
- d = 2.365 Å, intensity 36
- d = 2.277 Å, intensity 18
- d = 2.111 Å, intensity 32
- d = 1.970 Å, intensity 19
- d = 1.860 Å, intensity 28
- d = 1.724 Å, intensity 36

=====

[8]
For Ce2Si3Pd2, a DFT-relaxed cell (GGA-PBE, Alexandria) gives the simulated X-ray powder pattern in this record (λ = 1.5418 Å (Cu Kα)).

Structural model:
```
Ce2Si3Pd2
1.0
2.1321 -9.0354 0.0000
2.1321 9.0354 0.0000
0.0000 0.0000 6.8758
Ce Si Pd
4 6 4
direct
0.0544 0.9456 0.7500
0.1545 0.8455 0.2500
0.8455 0.1545 0.7500
0.9456 0.0544 0.2500
0.2220 0.7780 0.7500
0.4414 0.5586 0.5733
0.4414 0.5586 0.9267
0.5586 0.4414 0.0733
0.5586 0.4414 0.4267
0.7780 0.2220 0.2500
0.3092 0.6908 0.0479
0.3092 0.6908 0.4521
0.6908 0.3092 0.5479
0.6908 0.3092 0.9521
```

Top 10 peaks for 2θ from 15° to 90°, sorted by position:
- d = 3.105 Å, intensity 19
- d = 2.758 Å, intensity 47
- d = 2.648 Å, intensity 95
- d = 2.559 Å, intensity 100
- d = 2.446 Å, intensity 38
- d = 2.259 Å, intensity 22
- d = 2.150 Å, intensity 22
- d = 2.132 Å, intensity 44
- d = 2.044 Å, intensity 43
- d = 1.475 Å, intensity 30

=====

[9]
For Ti3InH, a DFT-relaxed cell (GGA-PBE, Alexandria) gives the simulated X-ray powder pattern in this record (λ = 1.5418 Å (Cu Kα)).

Structural model:
```
Ti3InH
1.0
4.8129 0.0000 0.0000
0.0000 4.8974 3.1443
0.0000 -4.8974 3.1443
Ti In H
6 2 2
direct
0.2500 0.0921 0.9079
0.2500 0.5431 0.3574
0.2500 0.5934 0.8720
0.7500 0.3574 0.5431
0.7500 0.8720 0.5934
0.7500 0.9079 0.0921
0.2500 0.0514 0.3970
0.7500 0.3970 0.0514
0.0000 0.6335 0.6335
0.5000 0.6335 0.6335
```

Top 10 peaks for 2θ from 15° to 90°, sorted by position:
- d = 3.561 Å, intensity 21
- d = 2.898 Å, intensity 11
- d = 2.646 Å, intensity 18
- d = 2.449 Å, intensity 13
- d = 2.406 Å, intensity 37
- d = 2.319 Å, intensity 100
- d = 2.182 Å, intensity 31
- d = 1.780 Å, intensity 10
- d = 1.372 Å, intensity 17
- d = 1.241 Å, intensity 12

=====

[10]
For Tl3InHg4, a DFT-relaxed cell (GGA-PBE, Alexandria) gives the simulated X-ray powder pattern in this record (λ = 1.5418 Å (Cu Kα)).

Structural model:
```
Tl3InHg4
1.0
6.3945 0.0000 0.0000
0.0000 11.0995 0.0000
0.0000 0.0000 6.5933
Tl In Hg
6 2 8
direct
0.0000 0.0000 0.0000
0.0000 0.2751 0.2507
0.0000 0.7249 0.2507
0.5000 0.2249 0.7507
0.5000 0.5000 0.5000
0.5000 0.7751 0.7507
0.0000 0.5000 0.5869
0.5000 0.0000 0.0869
0.0000 0.2410 0.7453
0.0000 0.7590 0.7453
0.2412 0.0000 0.5019
0.2588 0.5000 0.0019
0.5000 0.2590 0.2453
0.5000 0.7410 0.2453
0.7412 0.5000 0.0019
0.7588 0.0000 0.5019
```

Top 10 peaks for 2θ from 15° to 90°, sorted by position:
- d = 3.198 Å, intensity 19
- d = 2.834 Å, intensity 100
- d = 2.785 Å, intensity 43
- d = 2.773 Å, intensity 77
- d = 2.295 Å, intensity 24
- d = 2.271 Å, intensity 30
- d = 2.121 Å, intensity 17
- d = 1.769 Å, intensity 21
- d = 1.417 Å, intensity 22
- d = 1.392 Å, intensity 22

=====

[11]
For Ac7Sn2Ir2, a DFT-relaxed cell (GGA-PBE, Alexandria) gives the simulated X-ray powder pattern in this record (λ = 1.5418 Å (Cu Kα)).

Structural model:
```
Ac7Sn2Ir2
1.0
-2.3129 8.1090 5.1566
2.3129 -8.1090 5.1566
2.3129 8.1090 -5.1566
Ac Sn Ir
7 2 2
direct
0.0000 0.0000 0.0000
0.2876 0.3928 0.8948
0.3027 0.6267 0.6760
0.4979 0.3928 0.1052
0.5900 0.2094 0.3806
0.8288 0.2094 0.6194
0.9507 0.6267 0.3240
0.1445 0.9141 0.2303
0.6838 0.9141 0.7697
0.2046 0.7046 0.5000
0.6490 0.6490 0.0000
```

Top 10 peaks for 2θ from 15° to 90°, sorted by position:
- d = 3.515 Å, intensity 22
- d = 3.367 Å, intensity 100
- d = 3.094 Å, intensity 34
- d = 2.924 Å, intensity 81
- d = 2.903 Å, intensity 69
- d = 2.394 Å, intensity 22
- d = 2.313 Å, intensity 38
- d = 2.278 Å, intensity 32
- d = 1.929 Å, intensity 25
- d = 1.851 Å, intensity 28

=====

[12]
For Sc4FeSi7, a DFT-relaxed cell (GGA-PBE, Alexandria) gives the simulated X-ray powder pattern in this record (λ = 1.5418 Å (Cu Kα)).

Structural model:
```
Sc4FeSi7
1.0
3.6460 0.0000 0.0000
0.0000 3.8434 0.0000
0.0000 0.0000 14.0207
Sc Fe Si
4 1 7
direct
0.0000 0.0000 0.0000
0.0000 0.5000 0.4846
0.5000 0.0000 0.1816
0.5000 0.5000 0.6961
0.5000 0.5000 0.9921
0.0000 0.0000 0.3379
0.0000 0.0000 0.6402
0.0000 0.5000 0.1285
0.0000 0.5000 0.8555
0.5000 0.0000 0.5297
0.5000 0.0000 0.8539
0.5000 0.5000 0.3272
```

Top 10 peaks for 2θ from 15° to 90°, sorted by position:
- d = 2.337 Å, intensity 17
- d = 2.302 Å, intensity 100
- d = 1.922 Å, intensity 19
- d = 1.823 Å, intensity 13
- d = 1.484 Å, intensity 7
- d = 1.437 Å, intensity 6
- d = 1.323 Å, intensity 9
- d = 1.170 Å, intensity 10
- d = 1.151 Å, intensity 6
- d = 1.125 Å, intensity 9